(1)
This entry pairs a crystal structure of CsCoO2 with its simulated PXRD pattern. Radiation: Cu Ka. Structure: a DFT-relaxed cell (PBE+U, the Materials Project).
No peak broadening, texture or thermal motion is included.

Structural model:
a b c (Å): 7.062 7.062 8.308
angles (deg): 90.87 90.87 128.66
Positions (direct):
1 Cs 0.159 0.334 0.430
2 Cs 0.334 0.159 0.930
3 Cs 0.666 0.841 0.070
4 Cs 0.841 0.666 0.570
5 Co 0.045 0.453 0.856
6 Co 0.453 0.045 0.356
7 Co 0.547 0.955 0.644
8 Co 0.955 0.547 0.144
9 O 0.095 0.402 0.074
10 O 0.153 0.847 0.250
11 O 0.329 0.671 0.750
12 O 0.402 0.095 0.574
13 O 0.598 0.905 0.426
14 O 0.671 0.329 0.250
15 O 0.847 0.153 0.750
16 O 0.905 0.598 0.926

Top 10 peaks for 10° ≤ 2θ ≤ 80°, by angle:
| 2theta | Rel. int. |
| --- | --- |
| 26.47 | 45.1 |
| 27.30 | 42.9 |
| 27.55 | 87.1 |
| 27.96 | 100.0 |
| 29.21 | 73.9 |
| 30.07 | 35.5 |
| 35.36 | 38.8 |
| 35.85 | 22.7 |
| 47.27 | 19.2 |
| 52.44 | 26.0 |

(2)
This entry pairs a crystal structure of CsCoO2 with its simulated PXRD pattern. Radiation: Cu Ka. Structure: a DFT-relaxed cell (PBE+U, the Materials Project).
No peak broadening, texture or thermal motion is included.

Structural model:
a b c (Å): 6.019 6.019 6.019
angles (deg): 60.00 60.00 60.00
Positions (direct):
1 Cs 0.000 0.000 0.000
2 Cs 0.250 0.250 0.250
3 Co 0.500 0.500 0.500
4 Co 0.750 0.750 0.750
5 O 0.134 0.622 0.622
6 O 0.622 0.134 0.622
7 O 0.622 0.622 0.134
8 O 0.622 0.622 0.622

Top 10 peaks for 10° ≤ 2θ ≤ 80°, by angle:
| 2theta | Rel. int. |
| --- | --- |
| 18.05 | 4.9 |
| 29.68 | 100.0 |
| 34.96 | 14.3 |
| 42.48 | 12.8 |
| 46.50 | 1.7 |
| 52.68 | 38.3 |
| 56.15 | 4.6 |
| 61.64 | 15.3 |
| 69.89 | 16.1 |
| 77.73 | 3.1 |